[1]
For HgBi4Pb3, a PBE-relaxed structure gives the calculated PXRD pattern in this record (Cu Kα, 1.54184 Å).
Lines closer than 0.1° are merged.

Top 6 peaks for 2θ = 10–90°, in order of falling intensity:
2θ 28.0, rel. 100; 2θ 30.0, rel. 90; 2θ 41.5, rel. 72; 2θ 30.2, rel. 41; 2θ 32.7, rel. 40; 2θ 36.1, rel. 34

Cell and atoms:
```
data_HgBi4Pb3
_chemical_formula_sum 'Hg2 Bi8 Pb6'
_cell_length_a 25.551
_cell_length_b 5.966
_cell_length_c 3.412
_cell_angle_alpha 90.00
_cell_angle_beta 94.41
_cell_angle_gamma 90.00
_symmetry_space_group_name_H-M 'P 1'
_symmetry_Int_Tables_number 1
loop_
_symmetry_equiv_pos_as_xyz
'x,y,z'
loop_
_atom_site_label
_atom_site_type_symbol
_atom_site_fract_x
_atom_site_fract_y
_atom_site_fract_z
Hg1 Hg 0.000 0.000 0.000
Hg2 Hg 0.500 0.500 0.000
Bi1 Bi 0.119 0.000 0.626
Bi2 Bi 0.244 0.000 0.681
Bi3 Bi 0.256 0.500 0.319
Bi4 Bi 0.381 0.500 0.374
Bi5 Bi 0.619 0.500 0.626
Bi6 Bi 0.744 0.500 0.681
Bi7 Bi 0.756 0.000 0.319
Bi8 Bi 0.881 0.000 0.374
Pb1 Pb 0.000 0.500 0.500
Pb2 Pb 0.120 0.500 0.110
Pb3 Pb 0.380 0.000 0.890
Pb4 Pb 0.500 0.000 0.500
Pb5 Pb 0.620 0.000 0.110
Pb6 Pb 0.880 0.500 0.890
```

***

[2]
For HgBi5Pb4, a PBE-relaxed structure gives the calculated PXRD pattern in this record (Cu Kα, 1.54184 Å).
Lines closer than 0.1° are merged.

Top 6 peaks for 2θ = 10–90°, in order of falling intensity:
2θ 30.2, rel. 100; 2θ 29.7, rel. 39; 2θ 26.0, rel. 28; 2θ 42.0, rel. 25; 2θ 29.9, rel. 24; 2θ 40.7, rel. 20

Cell and atoms:
```
data_HgBi5Pb4
_chemical_formula_sum 'Hg1 Bi5 Pb4'
_cell_length_a 4.302
_cell_length_b 8.969
_cell_length_c 9.273
_cell_angle_alpha 72.26
_cell_angle_beta 76.92
_cell_angle_gamma 89.84
_symmetry_space_group_name_H-M 'P 1'
_symmetry_Int_Tables_number 1
loop_
_symmetry_equiv_pos_as_xyz
'x,y,z'
loop_
_atom_site_label
_atom_site_type_symbol
_atom_site_fract_x
_atom_site_fract_y
_atom_site_fract_z
Hg1 Hg 0.000 0.000 0.000
Bi1 Bi 0.000 0.500 0.000
Bi2 Bi 0.223 0.860 0.561
Bi3 Bi 0.356 0.479 0.292
Bi4 Bi 0.644 0.521 0.708
Bi5 Bi 0.777 0.140 0.439
Pb1 Pb 0.165 0.253 0.673
Pb2 Pb 0.434 0.192 0.131
Pb3 Pb 0.566 0.808 0.869
Pb4 Pb 0.835 0.747 0.327
```

***

[3]
For HgBiPb, a PBE-relaxed structure gives the calculated PXRD pattern in this record (Cu Kα, 1.54184 Å).
Lines closer than 0.1° are merged.

Top 6 peaks for 2θ = 10–90°, in order of falling intensity:
2θ 31.9, rel. 100; 2θ 34.0, rel. 56; 2θ 31.1, rel. 54; 2θ 32.4, rel. 53; 2θ 57.4, rel. 29; 2θ 28.8, rel. 20

Cell and atoms:
```
data_HgBiPb
_chemical_formula_sum 'Hg2 Bi2 Pb2'
_cell_length_a 3.451
_cell_length_b 5.532
_cell_length_c 9.841
_cell_angle_alpha 90.00
_cell_angle_beta 97.71
_cell_angle_gamma 90.00
_symmetry_space_group_name_H-M 'P 1'
_symmetry_Int_Tables_number 1
loop_
_symmetry_equiv_pos_as_xyz
'x,y,z'
loop_
_atom_site_label
_atom_site_type_symbol
_atom_site_fract_x
_atom_site_fract_y
_atom_site_fract_z
Hg1 Hg 0.114 0.000 0.435
Hg2 Hg 0.886 0.500 0.565
Bi1 Bi 0.308 0.499 0.901
Bi2 Bi 0.692 0.999 0.099
Pb1 Pb 0.336 0.499 0.237
Pb2 Pb 0.664 0.999 0.763
```

***

[4]
For HgBi4Pb7, a PBE-relaxed structure gives the calculated PXRD pattern in this record (Cu Kα, 1.54184 Å).
Lines closer than 0.1° are merged.

Top 6 peaks for 2θ = 10–90°, in order of falling intensity:
2θ 27.5, rel. 100; 2θ 38.0, rel. 45; 2θ 40.5, rel. 34; 2θ 47.6, rel. 23; 2θ 62.5, rel. 21; 2θ 66.0, rel. 15

Cell and atoms:
```
data_HgBi4Pb7
_chemical_formula_sum 'Hg1 Bi4 Pb7'
_cell_length_a 4.731
_cell_length_b 4.731
_cell_length_c 21.200
_cell_angle_alpha 90.00
_cell_angle_beta 90.00
_cell_angle_gamma 120.00
_symmetry_space_group_name_H-M 'P 1'
_symmetry_Int_Tables_number 1
loop_
_symmetry_equiv_pos_as_xyz
'x,y,z'
loop_
_atom_site_label
_atom_site_type_symbol
_atom_site_fract_x
_atom_site_fract_y
_atom_site_fract_z
Hg1 Hg 0.000 0.000 0.000
Bi1 Bi 0.333 0.667 0.160
Bi2 Bi 0.333 0.667 0.413
Bi3 Bi 0.667 0.333 0.587
Bi4 Bi 0.667 0.333 0.840
Pb1 Pb 0.000 0.000 0.240
Pb2 Pb 0.000 0.000 0.500
Pb3 Pb 0.000 0.000 0.760
Pb4 Pb 0.333 0.667 0.665
Pb5 Pb 0.333 0.667 0.926
Pb6 Pb 0.667 0.333 0.074
Pb7 Pb 0.667 0.333 0.335
```

***

[5]
For Hg4Bi2Pb3, a PBE-relaxed structure gives the calculated PXRD pattern in this record (Cu Kα, 1.54184 Å).
Lines closer than 0.1° are merged.

Top 6 peaks for 2θ = 10–90°, in order of falling intensity:
2θ 30.7, rel. 100; 2θ 32.9, rel. 42; 2θ 38.4, rel. 33; 2θ 31.0, rel. 27; 2θ 34.0, rel. 24; 2θ 57.3, rel. 17

Cell and atoms:
```
data_Hg4Bi2Pb3
_chemical_formula_sum 'Hg4 Bi2 Pb3'
_cell_length_a 9.241
_cell_length_b 9.241
_cell_length_c 9.624
_cell_angle_alpha 115.32
_cell_angle_beta 115.32
_cell_angle_gamma 21.53
_symmetry_space_group_name_H-M 'P 1'
_symmetry_Int_Tables_number 1
loop_
_symmetry_equiv_pos_as_xyz
'x,y,z'
loop_
_atom_site_label
_atom_site_type_symbol
_atom_site_fract_x
_atom_site_fract_y
_atom_site_fract_z
Hg1 Hg 0.002 0.002 0.168
Hg2 Hg 0.334 0.334 0.547
Hg3 Hg 0.666 0.666 0.453
Hg4 Hg 0.998 0.998 0.832
Bi1 Bi 0.336 0.336 0.219
Bi2 Bi 0.664 0.664 0.781
Pb1 Pb 0.000 0.000 0.500
Pb2 Pb 0.338 0.338 0.877
Pb3 Pb 0.662 0.662 0.123
```

***

[6]
For Hg3Bi3Pb2, a PBE-relaxed structure gives the calculated PXRD pattern in this record (Cu Kα, 1.54184 Å).
Lines closer than 0.1° are merged.

Top 6 peaks for 2θ = 10–90°, in order of falling intensity:
2θ 33.8, rel. 100; 2θ 30.8, rel. 98; 2θ 34.8, rel. 72; 2θ 28.8, rel. 66; 2θ 33.3, rel. 65; 2θ 59.7, rel. 35

Cell and atoms:
```
data_Hg3Bi3Pb2
_chemical_formula_sum 'Hg3 Bi3 Pb2'
_cell_length_a 6.268
_cell_length_b 6.268
_cell_length_c 6.268
_cell_angle_alpha 95.90
_cell_angle_beta 95.90
_cell_angle_gamma 95.90
_symmetry_space_group_name_H-M 'P 1'
_symmetry_Int_Tables_number 1
loop_
_symmetry_equiv_pos_as_xyz
'x,y,z'
loop_
_atom_site_label
_atom_site_type_symbol
_atom_site_fract_x
_atom_site_fract_y
_atom_site_fract_z
Hg1 Hg 0.000 0.738 0.262
Hg2 Hg 0.262 0.000 0.738
Hg3 Hg 0.738 0.262 0.000
Bi1 Bi 0.242 0.500 0.758
Bi2 Bi 0.500 0.758 0.242
Bi3 Bi 0.758 0.242 0.500
Pb1 Pb 0.249 0.249 0.249
Pb2 Pb 0.751 0.751 0.751
```

***

[7]
For Hg5Bi4Pb4, a PBE-relaxed structure gives the calculated PXRD pattern in this record (Cu Kα, 1.54184 Å).
Lines closer than 0.1° are merged.

Top 6 peaks for 2θ = 10–90°, in order of falling intensity:
2θ 33.1, rel. 100; 2θ 33.9, rel. 96; 2θ 30.1, rel. 94; 2θ 30.4, rel. 64; 2θ 31.4, rel. 33; 2θ 42.0, rel. 27

Cell and atoms:
```
data_Hg5Bi4Pb4
_chemical_formula_sum 'Hg5 Bi4 Pb4'
_cell_length_a 10.562
_cell_length_b 10.562
_cell_length_c 14.870
_cell_angle_alpha 132.05
_cell_angle_beta 132.05
_cell_angle_gamma 18.94
_symmetry_space_group_name_H-M 'P 1'
_symmetry_Int_Tables_number 1
loop_
_symmetry_equiv_pos_as_xyz
'x,y,z'
loop_
_atom_site_label
_atom_site_type_symbol
_atom_site_fract_x
_atom_site_fract_y
_atom_site_fract_z
Hg1 Hg 0.000 0.000 0.000
Hg2 Hg 0.265 0.265 0.607
Hg3 Hg 0.351 0.351 0.057
Hg4 Hg 0.649 0.649 0.943
Hg5 Hg 0.735 0.735 0.393
Bi1 Bi 0.112 0.112 0.724
Bi2 Bi 0.414 0.414 0.507
Bi3 Bi 0.586 0.586 0.493
Bi4 Bi 0.888 0.888 0.276
Pb1 Pb 0.058 0.058 0.272
Pb2 Pb 0.211 0.211 0.177
Pb3 Pb 0.789 0.789 0.823
Pb4 Pb 0.942 0.942 0.728
```

***

[8]
For Hg6Bi2Pb5, a PBE-relaxed structure gives the calculated PXRD pattern in this record (Cu Kα, 1.54184 Å).
Lines closer than 0.1° are merged.

Top 6 peaks for 2θ = 10–90°, in order of falling intensity:
2θ 34.8, rel. 100; 2θ 36.3, rel. 81; 2θ 27.8, rel. 64; 2θ 37.5, rel. 49; 2θ 64.4, rel. 35; 2θ 51.2, rel. 34

Cell and atoms:
```
data_Hg6Bi2Pb5
_chemical_formula_sum 'Hg6 Bi2 Pb5'
_cell_length_a 10.860
_cell_length_b 10.860
_cell_length_c 10.860
_cell_angle_alpha 46.45
_cell_angle_beta 46.45
_cell_angle_gamma 46.45
_symmetry_space_group_name_H-M 'P 1'
_symmetry_Int_Tables_number 1
loop_
_symmetry_equiv_pos_as_xyz
'x,y,z'
loop_
_atom_site_label
_atom_site_type_symbol
_atom_site_fract_x
_atom_site_fract_y
_atom_site_fract_z
Hg1 Hg 0.000 0.335 0.665
Hg2 Hg 0.000 0.665 0.335
Hg3 Hg 0.335 0.000 0.665
Hg4 Hg 0.335 0.665 0.000
Hg5 Hg 0.665 0.000 0.335
Hg6 Hg 0.665 0.335 0.000
Bi1 Bi 0.399 0.399 0.399
Bi2 Bi 0.601 0.601 0.601
Pb1 Pb 0.058 0.058 0.058
Pb2 Pb 0.276 0.276 0.276
Pb3 Pb 0.500 0.500 0.500
Pb4 Pb 0.724 0.724 0.724
Pb5 Pb 0.942 0.942 0.942
```

***

[9]
For Hg5BiPb8, a PBE-relaxed structure gives the calculated PXRD pattern in this record (Cu Kα, 1.54184 Å).
Lines closer than 0.1° are merged.

Top 6 peaks for 2θ = 10–90°, in order of falling intensity:
2θ 30.4, rel. 100; 2θ 50.5, rel. 21; 2θ 35.4, rel. 20; 2θ 33.5, rel. 20; 2θ 34.8, rel. 19; 2θ 59.7, rel. 14

Cell and atoms:
```
data_Hg5BiPb8
_chemical_formula_sum 'Hg5 Bi1 Pb8'
_cell_length_a 9.496
_cell_length_b 9.496
_cell_length_c 9.496
_cell_angle_alpha 94.21
_cell_angle_beta 94.21
_cell_angle_gamma 148.54
_symmetry_space_group_name_H-M 'P 1'
_symmetry_Int_Tables_number 1
loop_
_symmetry_equiv_pos_as_xyz
'x,y,z'
loop_
_atom_site_label
_atom_site_type_symbol
_atom_site_fract_x
_atom_site_fract_y
_atom_site_fract_z
Hg1 Hg 0.000 0.000 0.000
Hg2 Hg 0.169 0.122 0.728
Hg3 Hg 0.395 0.441 0.272
Hg4 Hg 0.559 0.831 0.954
Hg5 Hg 0.878 0.605 0.046
Bi1 Bi 0.250 0.750 0.500
Pb1 Pb 0.014 0.882 0.383
Pb2 Pb 0.118 0.501 0.133
Pb3 Pb 0.369 0.986 0.867
Pb4 Pb 0.499 0.631 0.617
Pb5 Pb 0.548 0.185 0.266
Pb6 Pb 0.718 0.452 0.638
Pb7 Pb 0.815 0.081 0.362
Pb8 Pb 0.919 0.282 0.734
```

***

[10]
For Hg3BiPb3, a PBE-relaxed structure gives the calculated PXRD pattern in this record (Cu Kα, 1.54184 Å).
Lines closer than 0.1° are merged.

Top 6 peaks for 2θ = 10–90°, in order of falling intensity:
2θ 33.9, rel. 100; 2θ 31.7, rel. 27; 2θ 29.9, rel. 23; 2θ 57.9, rel. 22; 2θ 63.2, rel. 21; 2θ 53.1, rel. 18

Cell and atoms:
```
data_Hg3BiPb3
_chemical_formula_sum 'Hg6 Bi2 Pb6'
_cell_length_a 9.126
_cell_length_b 9.126
_cell_length_c 5.650
_cell_angle_alpha 90.00
_cell_angle_beta 90.00
_cell_angle_gamma 120.00
_symmetry_space_group_name_H-M 'P 1'
_symmetry_Int_Tables_number 1
loop_
_symmetry_equiv_pos_as_xyz
'x,y,z'
loop_
_atom_site_label
_atom_site_type_symbol
_atom_site_fract_x
_atom_site_fract_y
_atom_site_fract_z
Hg1 Hg 0.107 0.626 0.250
Hg2 Hg 0.374 0.481 0.250
Hg3 Hg 0.481 0.107 0.750
Hg4 Hg 0.519 0.893 0.250
Hg5 Hg 0.626 0.519 0.750
Hg6 Hg 0.893 0.374 0.750
Bi1 Bi 0.333 0.667 0.750
Bi2 Bi 0.667 0.333 0.250
Pb1 Pb 0.069 0.813 0.750
Pb2 Pb 0.187 0.256 0.750
Pb3 Pb 0.256 0.069 0.250
Pb4 Pb 0.744 0.931 0.750
Pb5 Pb 0.813 0.744 0.250
Pb6 Pb 0.931 0.187 0.250
```

***

[11]
For Hg4Bi3Pb, a PBE-relaxed structure gives the calculated PXRD pattern in this record (Cu Kα, 1.54184 Å).
Lines closer than 0.1° are merged.

Top 6 peaks for 2θ = 10–90°, in order of falling intensity:
2θ 29.3, rel. 100; 2θ 29.8, rel. 77; 2θ 30.1, rel. 32; 2θ 42.5, rel. 31; 2θ 42.1, rel. 28; 2θ 31.1, rel. 21

Cell and atoms:
```
data_Hg4Bi3Pb
_chemical_formula_sum 'Hg4 Bi3 Pb1'
_cell_length_a 3.331
_cell_length_b 6.104
_cell_length_c 12.447
_cell_angle_alpha 76.08
_cell_angle_beta 82.96
_cell_angle_gamma 87.86
_symmetry_space_group_name_H-M 'P 1'
_symmetry_Int_Tables_number 1
loop_
_symmetry_equiv_pos_as_xyz
'x,y,z'
loop_
_atom_site_label
_atom_site_type_symbol
_atom_site_fract_x
_atom_site_fract_y
_atom_site_fract_z
Hg1 Hg 0.143 0.139 0.260
Hg2 Hg 0.245 0.760 0.966
Hg3 Hg 0.755 0.240 0.034
Hg4 Hg 0.857 0.861 0.740
Bi1 Bi 0.000 0.500 0.500
Bi2 Bi 0.134 0.655 0.228
Bi3 Bi 0.866 0.345 0.772
Pb1 Pb 0.500 0.000 0.500
```

***

[12]
For Hg5Bi2Pb6, a PBE-relaxed structure gives the calculated PXRD pattern in this record (Cu Kα, 1.54184 Å).
Lines closer than 0.1° are merged.

Top 6 peaks for 2θ = 10–90°, in order of falling intensity:
2θ 30.7, rel. 100; 2θ 33.0, rel. 33; 2θ 35.7, rel. 31; 2θ 61.1, rel. 15; 2θ 63.9, rel. 14; 2θ 53.0, rel. 13

Cell and atoms:
```
data_Hg5Bi2Pb6
_chemical_formula_sum 'Hg10 Bi4 Pb12'
_cell_length_a 10.854
_cell_length_b 14.264
_cell_length_c 5.025
_cell_angle_alpha 90.00
_cell_angle_beta 90.00
_cell_angle_gamma 90.00
_symmetry_space_group_name_H-M 'P 1'
_symmetry_Int_Tables_number 1
loop_
_symmetry_equiv_pos_as_xyz
'x,y,z'
loop_
_atom_site_label
_atom_site_type_symbol
_atom_site_fract_x
_atom_site_fract_y
_atom_site_fract_z
Hg1 Hg 0.000 0.000 0.000
Hg2 Hg 0.117 0.410 0.000
Hg3 Hg 0.219 0.116 0.000
Hg4 Hg 0.281 0.616 0.000
Hg5 Hg 0.383 0.910 0.000
Hg6 Hg 0.500 0.500 0.000
Hg7 Hg 0.617 0.090 0.000
Hg8 Hg 0.719 0.384 0.000
Hg9 Hg 0.781 0.884 0.000
Hg10 Hg 0.883 0.590 0.000
Bi1 Bi 0.172 0.925 0.500
Bi2 Bi 0.328 0.425 0.500
Bi3 Bi 0.672 0.575 0.500
Bi4 Bi 0.828 0.075 0.500
Pb1 Pb 0.077 0.776 0.000
Pb2 Pb 0.105 0.587 0.500
Pb3 Pb 0.146 0.247 0.500
Pb4 Pb 0.354 0.747 0.500
Pb5 Pb 0.395 0.087 0.500
Pb6 Pb 0.423 0.276 0.000
Pb7 Pb 0.577 0.724 0.000
Pb8 Pb 0.605 0.913 0.500
Pb9 Pb 0.646 0.253 0.500
Pb10 Pb 0.854 0.753 0.500
Pb11 Pb 0.895 0.413 0.500
Pb12 Pb 0.923 0.224 0.000
```